Record 1
PrSbCl: computed powder XRD pattern (Cu Kα X-rays), based on DFT lattice parameters and positions (PBE).
Neutral-atom scattering factors, no anomalous dispersion.

Crystal structure
```
data_PrSbCl
_symmetry_space_group_name_H-M 'P -6 m 2'
_symmetry_Int_Tables_number 187
_symmetry_space_group_name_Hall 'P -6 2'
_cell_length_a 5.0346
_cell_length_b 5.0346
_cell_length_c 3.7915
_cell_angle_alpha 90.00
_cell_angle_beta 90.00
_cell_angle_gamma 120.00
loop_
_atom_site_label
_atom_site_type_symbol
_atom_site_fract_x
_atom_site_fract_y
_atom_site_fract_z
Pr1 Pr 0.0000 0.0000 0.0000
Sb1 Sb 0.3333 0.6667 0.5000
Cl1 Cl 0.6667 0.3333 0.0000
```

Largest 10 diffraction maxima, most intense first, 2θ from 10° to 90°:
h k l, two_theta, Rel. int.
1 0 1, 31.26, 100
1 1 0, 35.67, 59
2 0 1, 48.15, 30
2 1 1, 61.34, 29
1 0 0, 20.37, 25
1 1 2, 61.20, 24
3 1 1, 84.00, 12
3 0 0, 64.07, 10
3 0 2, 83.88, 10
0 0 2, 47.99, 8

Record 2
Ac2PdPb8: computed powder XRD pattern (Cu Kα X-rays), based on DFT lattice parameters and positions (PBE).
Neutral-atom scattering factors, no anomalous dispersion.

Crystal structure
```
data_Ac2PdPb8
_symmetry_space_group_name_H-M 'P 4/m m m'
_symmetry_Int_Tables_number 123
_symmetry_space_group_name_Hall '-P 4 2'
_cell_length_a 5.047
_cell_length_b 5.047
_cell_length_c 13.271
_cell_angle_alpha 90.00
_cell_angle_beta 90.00
_cell_angle_gamma 90.00
loop_
_atom_site_label
_atom_site_type_symbol
_atom_site_fract_x
_atom_site_fract_y
_atom_site_fract_z
Ac1 Ac 0.000 0.000 0.188
Pd1 Pd 0.000 0.000 0.500
Pb1 Pb 0.000 0.500 0.000
Pb2 Pb 0.000 0.500 0.379
Pb3 Pb 0.500 0.500 0.195
```

Largest 10 diffraction maxima, most intense first, 2θ from 10° to 90°:
h k l, two_theta, Rel. int.
1 1 3, 32.23, 100
2 0 0, 35.57, 56
1 1 2, 28.39, 39
3 1 3, 61.79, 32
2 0 5, 49.86, 29
0 0 5, 33.77, 21
2 2 0, 51.19, 20
1 1 8, 61.66, 18
3 1 8, 84.17, 16
2 2 5, 62.74, 15

Record 3
TbSc2Cu3: computed powder XRD pattern (Cu Kα X-rays), based on DFT lattice parameters and positions (PBE).
Neutral-atom scattering factors, no anomalous dispersion.

Crystal structure
```
data_TbSc2Cu3
_symmetry_space_group_name_H-M 'P 4/m m m'
_symmetry_Int_Tables_number 123
_symmetry_space_group_name_Hall '-P 4 2'
_cell_length_a 3.313
_cell_length_b 3.313
_cell_length_c 10.107
_cell_angle_alpha 90.00
_cell_angle_beta 90.00
_cell_angle_gamma 90.00
loop_
_atom_site_label
_atom_site_type_symbol
_atom_site_fract_x
_atom_site_fract_y
_atom_site_fract_z
Tb1 Tb 0.000 0.000 0.000
Sc1 Sc 0.000 0.000 0.341
Cu1 Cu 0.500 0.500 0.190
Cu2 Cu 0.500 0.500 0.500
```

Largest 10 diffraction maxima, most intense first, 2θ from 10° to 90°:
h k l, two_theta, Rel. int.
1 0 3, 38.10, 100
1 1 0, 38.43, 52
2 1 3, 69.28, 31
1 0 2, 32.31, 18
1 0 1, 28.35, 18
2 0 0, 55.47, 17
1 1 6, 68.62, 14
2 0 6, 81.50, 11
0 0 6, 54.47, 7
0 0 2, 17.55, 7

Record 4
Zn2Cu3Ni3: computed powder XRD pattern (Cu Kα X-rays), based on DFT lattice parameters and positions (PBE).
Neutral-atom scattering factors, no anomalous dispersion.

Crystal structure
```
data_Zn2Cu3Ni3
_symmetry_space_group_name_H-M 'P m m m'
_symmetry_Int_Tables_number 47
_cell_length_a 3.642
_cell_length_b 3.719
_cell_length_c 6.996
_cell_angle_alpha 90.00
_cell_angle_beta 90.00
_cell_angle_gamma 90.00
loop_
_symmetry_equiv_pos_as_xyz
'x,y,z'
'-x,-y,-z'
'-x,-y,z'
'x,y,-z'
'x,-y,-z'
'-x,y,z'
'-x,y,-z'
'x,-y,z'
loop_
_atom_site_label
_atom_site_type_symbol
_atom_site_fract_x
_atom_site_fract_y
_atom_site_fract_z
Zn1 Zn 0.000 0.000 0.245
Cu1 Cu 0.000 0.500 0.500
Cu2 Cu 0.500 0.500 0.247
Ni1 Ni 0.000 0.500 0.000
Ni2 Ni 0.500 0.000 0.000
Ni3 Ni 0.500 0.000 0.500
```

Largest 9 diffraction maxima, most intense first, 2θ from 10° to 90°:
h k l, two_theta, Rel. int.
1 1 2, 43.34, 100
0 2 0, 48.98, 17
2 0 0, 50.09, 16
0 0 4, 52.31, 14
1 3 2, 87.72, 11
3 1 2, 89.41, 11
2 2 0, 72.68, 10
0 2 4, 74.47, 9
2 0 4, 75.35, 9

Record 5
Re2Rh: computed powder XRD pattern (Cu Kα X-rays), based on DFT lattice parameters and positions (PBE).
Neutral-atom scattering factors, no anomalous dispersion.

Crystal structure
```
data_Re2Rh
_symmetry_space_group_name_H-M 'I 4/m m m'
_symmetry_Int_Tables_number 139
_symmetry_space_group_name_Hall '-I 4 2'
_cell_length_a 2.758
_cell_length_b 2.758
_cell_length_c 11.605
_cell_angle_alpha 90.00
_cell_angle_beta 90.00
_cell_angle_gamma 90.00
loop_
_atom_site_label
_atom_site_type_symbol
_atom_site_fract_x
_atom_site_fract_y
_atom_site_fract_z
Re1 Re 0.000 0.000 0.169
Rh1 Rh 0.000 0.000 0.500
```

Largest 10 diffraction maxima, most intense first, 2θ from 10° to 90°:
h k l, two_theta, Rel. int.
1 0 3, 40.15, 100
1 1 0, 46.56, 33
2 1 3, 81.99, 26
1 1 6, 68.30, 21
0 0 6, 46.98, 16
1 0 9, 82.60, 13
2 0 6, 86.71, 11
2 0 0, 67.97, 11
0 0 2, 15.27, 8
1 0 1, 33.39, 4

Record 6
Tb2Pr2Se3: computed powder XRD pattern (Cu Kα X-rays), based on DFT lattice parameters and positions (PBE).
Neutral-atom scattering factors, no anomalous dispersion.

Crystal structure
```
data_Tb2Pr2Se3
_symmetry_space_group_name_H-M 'P -1'
_symmetry_Int_Tables_number 2
_cell_length_a 4.054
_cell_length_b 7.109
_cell_length_c 7.217
_cell_angle_alpha 98.87
_cell_angle_beta 90.02
_cell_angle_gamma 106.51
loop_
_symmetry_equiv_pos_as_xyz
'x,y,z'
'-x,-y,-z'
loop_
_atom_site_label
_atom_site_type_symbol
_atom_site_fract_x
_atom_site_fract_y
_atom_site_fract_z
Tb1 Tb 0.127 0.254 0.381
Pr1 Pr 0.378 0.759 0.114
Se1 Se 0.249 0.497 0.739
Se2 Se 0.500 0.000 0.500
```

Largest 10 diffraction maxima, most intense first, 2θ from 10° to 90°:
h k l, two_theta, Rel. int.
1 1 -1, 31.00, 100
0 1 2, 30.22, 53
1 2 1, 43.93, 38
1 0 -3, 43.76, 38
1 0 1, 26.66, 27
2 0 2, 54.92, 20
0 3 -2, 44.13, 18
2 -1 0, 44.71, 18
0 2 0, 26.50, 14
0 1 -2, 26.37, 14

Record 7
LiMg6Rh2: computed powder XRD pattern (Cu Kα X-rays), based on DFT lattice parameters and positions (PBE).
Neutral-atom scattering factors, no anomalous dispersion.

Crystal structure
```
data_LiMg6Rh2
_symmetry_space_group_name_H-M 'P -3 m 1'
_symmetry_Int_Tables_number 164
_symmetry_space_group_name_Hall '-P 3 2"'
_cell_length_a 4.5988
_cell_length_b 4.5988
_cell_length_c 8.5621
_cell_angle_alpha 90.00
_cell_angle_beta 90.00
_cell_angle_gamma 120.00
loop_
_atom_site_label
_atom_site_type_symbol
_atom_site_fract_x
_atom_site_fract_y
_atom_site_fract_z
Li1 Li 0.0000 0.0000 0.0000
Mg1 Mg 0.0000 0.0000 0.3029
Mg2 Mg 0.3333 0.6667 0.0969
Mg3 Mg 0.3333 0.6667 0.4379
Rh1 Rh 0.3333 0.6667 0.7620
```

Largest 10 diffraction maxima, most intense first, 2θ from 10° to 90°:
h k l, two_theta, Rel. int.
0 1 3, 38.82, 100
1 1 0, 39.18, 87
0 1 1, 24.65, 87
0 0 2, 20.75, 40
2 0 3, 56.34, 33
1 2 3, 70.76, 32
1 1 2, 44.74, 31
1 0 0, 22.32, 28
2 0 1, 46.84, 15
3 0 0, 71.00, 14

Record 8
SrTbTlI6: computed powder XRD pattern (Cu Kα X-rays), based on DFT lattice parameters and positions (PBE).
Neutral-atom scattering factors, no anomalous dispersion.

Crystal structure
```
data_SrTbTlI6
_symmetry_space_group_name_H-M 'P -3 1 c'
_symmetry_Int_Tables_number 163
_symmetry_space_group_name_Hall '-P 3 2c'
_cell_length_a 8.2052
_cell_length_b 8.2052
_cell_length_c 15.0341
_cell_angle_alpha 90.00
_cell_angle_beta 90.00
_cell_angle_gamma 120.00
loop_
_atom_site_label
_atom_site_type_symbol
_atom_site_fract_x
_atom_site_fract_y
_atom_site_fract_z
Sr1 Sr 0.3333 0.6667 0.2500
Tb1 Tb 0.3333 0.6667 0.7500
Tl1 Tl 0.0000 0.0000 0.0000
I1 I 0.0221 0.3732 0.6308
```

Largest 10 diffraction maxima, most intense first, 2θ from 10° to 90°:
h k l, two_theta, Rel. int.
1 1 2, 24.72, 100
1 1 4, 32.30, 84
1 0 2, 17.17, 65
3 0 0, 38.00, 61
2 1 2, 35.49, 28
3 0 8, 63.16, 24
2 -1 6, 42.26, 23
4 -2 4, 50.70, 21
4 1 4, 65.07, 18
2 0 2, 27.77, 18

Record 9
BaCd9Pd3: computed powder XRD pattern (Cu Kα X-rays), based on DFT lattice parameters and positions (PBE).
Neutral-atom scattering factors, no anomalous dispersion.

Crystal structure
```
data_BaCd9Pd3
_symmetry_space_group_name_H-M 'C 1 2/m 1'
_symmetry_Int_Tables_number 12
_cell_length_a 5.698
_cell_length_b 14.473
_cell_length_c 7.423
_cell_angle_alpha 90.00
_cell_angle_beta 110.98
_cell_angle_gamma 90.00
loop_
_symmetry_equiv_pos_as_xyz
'x,y,z'
'-x,-y,-z'
'-x,y,-z'
'x,-y,z'
'x+1/2,y+1/2,z'
'-x+1/2,-y+1/2,-z'
'-x+1/2,y+1/2,-z'
'x+1/2,-y+1/2,z'
loop_
_atom_site_label
_atom_site_type_symbol
_atom_site_fract_x
_atom_site_fract_y
_atom_site_fract_z
Ba1 Ba 0.000 0.000 0.000
Cd1 Cd 0.000 0.000 0.500
Cd2 Cd 0.101 0.385 0.220
Cd3 Cd 0.167 0.178 0.339
Pd1 Pd 0.000 0.500 0.500
Pd2 Pd 0.250 0.250 0.000
```

Largest 10 diffraction maxima, most intense first, 2θ from 10° to 90°:
h k l, two_theta, Rel. int.
0 4 2, 35.91, 100
2 4 -1, 40.29, 42
2 0 -1, 31.37, 35
2 2 -2, 36.61, 32
1 5 0, 35.30, 27
2 0 1, 40.42, 25
1 5 -1, 35.46, 23
0 2 3, 41.04, 23
1 1 2, 36.18, 21
1 3 1, 30.78, 20

Record 10
Zr2TlPb: computed powder XRD pattern (Cu Kα X-rays), based on DFT lattice parameters and positions (PBE).
Neutral-atom scattering factors, no anomalous dispersion.

Crystal structure
```
data_Zr2TlPb
_symmetry_space_group_name_H-M 'I 4/m m m'
_symmetry_Int_Tables_number 139
_symmetry_space_group_name_Hall '-I 4 2'
_cell_length_a 4.621
_cell_length_b 4.621
_cell_length_c 8.784
_cell_angle_alpha 90.00
_cell_angle_beta 90.00
_cell_angle_gamma 90.00
loop_
_atom_site_label
_atom_site_type_symbol
_atom_site_fract_x
_atom_site_fract_y
_atom_site_fract_z
Zr1 Zr 0.000 0.500 0.250
Tl1 Tl 0.000 0.000 0.000
Pb1 Pb 0.000 0.000 0.500
```

Largest 10 diffraction maxima, most intense first, 2θ from 10° to 90°:
h k l, two_theta, Rel. int.
1 1 2, 34.20, 100
2 0 0, 38.98, 35
3 1 2, 67.55, 28
2 0 4, 57.93, 22
0 0 4, 41.10, 15
1 1 6, 70.48, 12
2 2 0, 56.31, 12
1 1 0, 27.29, 12
2 2 4, 72.04, 12
0 0 2, 20.22, 12

Record 11
Sm4Te2AsRh: computed powder XRD pattern (Cu Kα X-rays), based on DFT lattice parameters and positions (PBE).
Neutral-atom scattering factors, no anomalous dispersion.

Crystal structure
```
data_Sm4Te2AsRh
_symmetry_space_group_name_H-M 'P 1 2/m 1'
_symmetry_Int_Tables_number 10
_cell_length_a 7.461
_cell_length_b 4.240
_cell_length_c 7.648
_cell_angle_alpha 90.00
_cell_angle_beta 108.49
_cell_angle_gamma 90.00
loop_
_symmetry_equiv_pos_as_xyz
'x,y,z'
'-x,-y,-z'
'-x,y,-z'
'x,-y,z'
loop_
_atom_site_label
_atom_site_type_symbol
_atom_site_fract_x
_atom_site_fract_y
_atom_site_fract_z
Sm1 Sm 0.230 0.000 0.212
Sm2 Sm 0.253 0.500 0.783
Te1 Te 0.000 0.000 0.500
Te2 Te 0.500 0.500 0.500
As1 As 0.500 0.000 0.000
Rh1 Rh 0.000 0.500 0.000
```

Largest 10 diffraction maxima, most intense first, 2θ from 10° to 90°:
h k l, two_theta, Rel. int.
1 1 1, 29.19, 100
3 1 -1, 42.13, 26
1 1 -3, 41.34, 22
2 2 -2, 52.49, 13
0 2 0, 42.65, 13
2 0 2, 40.90, 11
4 2 0, 69.12, 11
2 2 2, 60.57, 7
4 0 0, 51.67, 7
1 3 1, 69.88, 6

Record 12
Tb5Nd3Se8: computed powder XRD pattern (Cu Kα X-rays), based on DFT lattice parameters and positions (PBE).
Neutral-atom scattering factors, no anomalous dispersion.

Crystal structure
```
data_Tb5Nd3Se8
_symmetry_space_group_name_H-M 'R -3 m'
_symmetry_Int_Tables_number 166
_symmetry_space_group_name_Hall '-R 3 2"'
_cell_length_a 8.2714
_cell_length_b 8.2714
_cell_length_c 20.4463
_cell_angle_alpha 90.00
_cell_angle_beta 90.00
_cell_angle_gamma 120.00
loop_
_atom_site_label
_atom_site_type_symbol
_atom_site_fract_x
_atom_site_fract_y
_atom_site_fract_z
Tb1 Tb 0.0000 0.0000 0.0000
Tb2 Tb 0.0000 0.0000 0.5000
Tb3 Tb 0.0000 0.5000 0.0000
Nd1 Nd 0.0000 0.5000 0.5000
Se1 Se 0.0000 0.0000 0.2543
Se2 Se 0.0056 0.5028 0.2529
```

Largest 10 diffraction maxima, most intense first, 2θ from 10° to 90°:
h k l, two_theta, Rel. int.
0 2 4, 30.48, 100
2 0 8, 43.50, 37
2 2 0, 43.78, 37
4 0 4, 54.28, 19
2 2 12, 71.78, 17
2 4 4, 72.19, 17
2 0 2, 26.37, 14
4 2 8, 80.25, 12
0 4 8, 63.42, 12
0 0 12, 53.80, 7

Record 13
LaNdTm3Th: computed powder XRD pattern (Cu Kα X-rays), based on DFT lattice parameters and positions (PBE).
Neutral-atom scattering factors, no anomalous dispersion.

Crystal structure
```
data_LaNdTm3Th
_symmetry_space_group_name_H-M 'C 1 2/m 1'
_symmetry_Int_Tables_number 12
_cell_length_a 19.582
_cell_length_b 5.637
_cell_length_c 7.118
_cell_angle_alpha 90.00
_cell_angle_beta 90.18
_cell_angle_gamma 90.00
loop_
_symmetry_equiv_pos_as_xyz
'x,y,z'
'-x,-y,-z'
'-x,y,-z'
'x,-y,z'
'x+1/2,y+1/2,z'
'-x+1/2,-y+1/2,-z'
'-x+1/2,y+1/2,-z'
'x+1/2,-y+1/2,z'
loop_
_atom_site_label
_atom_site_type_symbol
_atom_site_fract_x
_atom_site_fract_y
_atom_site_fract_z
La1 La 0.146 0.000 0.455
Nd1 Nd 0.149 0.000 0.036
Tm1 Tm 0.024 0.000 0.755
Tm2 Tm 0.156 0.500 0.756
Tm3 Tm 0.221 0.500 0.254
Th1 Th 0.052 0.500 0.230
```

Largest 10 diffraction maxima, most intense first, 2θ from 10° to 90°:
h k l, two_theta, Rel. int.
5 1 1, 30.50, 100
0 2 0, 31.75, 50
3 1 -2, 32.76, 48
1 1 2, 30.05, 26
0 0 2, 25.02, 20
7 1 0, 35.84, 20
5 3 1, 55.78, 19
4 0 2, 31.08, 18
4 2 2, 45.02, 14
0 2 2, 40.84, 11

Record 14
Nd3Ho4Er4: computed powder XRD pattern (Cu Kα X-rays), based on DFT lattice parameters and positions (PBE).
Neutral-atom scattering factors, no anomalous dispersion.

Crystal structure
```
data_Nd3Ho4Er4
_symmetry_space_group_name_H-M 'I m m m'
_symmetry_Int_Tables_number 71
_symmetry_space_group_name_Hall '-I 2 2'
_cell_length_a 3.531
_cell_length_b 11.196
_cell_length_c 18.420
_cell_angle_alpha 90.00
_cell_angle_beta 90.00
_cell_angle_gamma 90.00
loop_
_atom_site_label
_atom_site_type_symbol
_atom_site_fract_x
_atom_site_fract_y
_atom_site_fract_z
Nd1 Nd 0.000 0.000 0.000
Nd2 Nd 0.000 0.500 0.110
Ho1 Ho 0.000 0.000 0.218
Ho2 Ho 0.000 0.210 0.500
Er1 Er 0.000 0.256 0.328
```

Largest 10 diffraction maxima, most intense first, 2θ from 10° to 90°:
h k l, two_theta, Rel. int.
1 2 1, 30.32, 100
0 2 6, 33.31, 63
0 4 0, 31.97, 52
1 1 4, 32.95, 40
1 2 5, 38.82, 36
0 1 5, 25.45, 29
0 3 5, 34.20, 26
1 5 4, 52.30, 22
0 0 6, 29.09, 20
1 4 9, 62.02, 18